Calculated powder XRD pattern of SmMg4Be4Zn4 for λ = 1.5418 Å (Cu Kα), from a GGA-PBE-relaxed structure.
Intensities are scaled so that the largest is 100.

Largest 10 diffraction maxima, most intense first, 2θ from 10° to 80°:
34.8°, 2.579 Å, I 100; 40.3°, 2.236 Å, I 76; 20.1°, 4.423 Å, I 59; 19.8°, 4.490 Å, I 57; 35.3°, 2.541 Å, I 40; 31.5°, 2.839 Å, I 32; 73.1°, 1.294 Å, I 31; 40.8°, 2.211 Å, I 28; 42.7°, 2.116 Å, I 27; 56.6°, 1.626 Å, I 23

Cell and atoms:
Unit cell a=6.839 b=6.839 c=6.839 alpha=97.93 beta=97.93 gamma=136.38
Fractional coordinates of all 13 atoms:
Sm 0.000 0.000 0.000
Mg 0.269 0.500 0.769
Mg 0.500 0.269 0.769
Mg 0.500 0.731 0.231
Mg 0.731 0.500 0.231
Be 0.000 0.000 0.500
Be 0.000 0.500 0.000
Be 0.500 0.000 0.000
Be 0.500 0.500 0.500
Zn 0.000 0.344 0.344
Zn 0.000 0.656 0.656
Zn 0.344 0.000 0.344
Zn 0.656 0.000 0.656



Calculated powder XRD pattern of SmMg4Be4Zn4 for λ = 1.5418 Å (Cu Kα), from a GGA-PBE-relaxed structure.
Intensities are scaled so that the largest is 100.

Largest 10 diffraction maxima, most intense first, 2θ from 10° to 80°:
40.6°, 2.223 Å, I 100; 28.6°, 3.122 Å, I 62; 14.0°, 6.332 Å, I 52; 36.0°, 2.493 Å, I 29; 40.3°, 2.239 Å, I 28; 19.8°, 4.477 Å, I 28; 67.9°, 1.381 Å, I 21; 35.0°, 2.561 Å, I 19; 55.1°, 1.666 Å, I 17; 41.5°, 2.178 Å, I 14

Cell and atoms:
Unit cell a=6.805 b=6.805 c=6.805 alpha=97.71 beta=97.71 gamma=137.02
Fractional coordinates of all 13 atoms:
Sm 0.000 0.000 0.000
Mg 0.000 0.344 0.344
Mg 0.000 0.656 0.656
Mg 0.344 0.000 0.344
Mg 0.656 0.000 0.656
Be 0.000 0.000 0.500
Be 0.000 0.500 0.000
Be 0.500 0.000 0.000
Be 0.500 0.500 0.500
Zn 0.287 0.500 0.787
Zn 0.500 0.287 0.787
Zn 0.500 0.713 0.213
Zn 0.713 0.500 0.213



Calculated powder XRD pattern of SmMg4Be4Zn4 for λ = 1.5418 Å (Cu Kα), from a GGA-PBE-relaxed structure.
Intensities are scaled so that the largest is 100.

Largest 10 diffraction maxima, most intense first, 2θ from 10° to 80°:
34.8°, 2.581 Å, I 100; 18.6°, 4.758 Å, I 88; 37.8°, 2.379 Å, I 61; 40.7°, 2.219 Å, I 52; 55.3°, 1.662 Å, I 43; 20.4°, 4.345 Å, I 28; 62.3°, 1.490 Å, I 24; 31.5°, 2.843 Å, I 24; 32.6°, 2.748 Å, I 22; 58.2°, 1.586 Å, I 22

Cell and atoms:
Unit cell a=6.771 b=6.771 c=6.771 alpha=100.16 beta=100.16 gamma=130.34
Fractional coordinates of all 13 atoms:
Sm 0.000 0.000 0.000
Mg 0.000 0.000 0.500
Mg 0.000 0.500 0.000
Mg 0.500 0.000 0.000
Mg 0.500 0.500 0.500
Be 0.315 0.500 0.815
Be 0.500 0.315 0.815
Be 0.500 0.685 0.185
Be 0.685 0.500 0.185
Zn 0.000 0.358 0.358
Zn 0.000 0.642 0.642
Zn 0.358 0.000 0.358
Zn 0.642 0.000 0.642



Calculated powder XRD pattern of Mg2TaBe2 for λ = 1.5418 Å (Cu Kα), from a GGA-PBE-relaxed structure.
Intensities are scaled so that the largest is 100.

Largest 10 diffraction maxima, most intense first, 2θ from 10° to 80°:
20.2°, 4.388 Å, I 100; 25.0°, 3.569 Å, I 99; 28.5°, 3.127 Å, I 78; 38.5°, 2.340 Å, I 54; 40.6°, 2.220 Å, I 49; 35.3°, 2.545 Å, I 42; 50.8°, 1.796 Å, I 33; 35.8°, 2.510 Å, I 31; 41.3°, 2.187 Å, I 27; 48.4°, 1.879 Å, I 23

Cell and atoms:
Unit cell a=6.892 b=5.145 c=7.648 alpha=61.57 beta=41.03 gamma=77.40
Fractional coordinates of all 10 atoms:
Mg 0.353 0.647 0.441
Mg 0.647 0.353 0.559
Mg 0.691 0.809 0.603
Mg 0.809 0.691 0.897
Ta 0.024 0.024 0.976
Ta 0.274 0.274 0.226
Be 0.114 0.484 0.979
Be 0.271 0.827 0.136
Be 0.484 0.114 0.423
Be 0.827 0.271 0.766



Calculated powder XRD pattern of Be2Mo3 for λ = 1.5418 Å (Cu Kα), from a GGA-PBE-relaxed structure.
Intensities are scaled so that the largest is 100.

Largest 10 diffraction maxima, most intense first, 2θ from 10° to 80°:
40.3°, 2.239 Å, I 100; 42.9°, 2.107 Å, I 76; 32.1°, 2.791 Å, I 69; 34.5°, 2.598 Å, I 55; 46.0°, 1.973 Å, I 50; 70.4°, 1.337 Å, I 31; 40.9°, 2.206 Å, I 29; 68.5°, 1.369 Å, I 24; 76.4°, 1.246 Å, I 22; 20.1°, 4.413 Å, I 17

Cell and atoms:
Unit cell a=6.241 b=6.241 c=3.213 alpha=90.00 beta=90.00 gamma=90.00
Fractional coordinates of all 10 atoms:
Be 0.118 0.382 0.000
Be 0.382 0.882 0.000
Be 0.618 0.118 0.000
Be 0.882 0.618 0.000
Mo 0.000 0.000 0.000
Mo 0.177 0.677 0.500
Mo 0.323 0.177 0.500
Mo 0.500 0.500 0.000
Mo 0.677 0.823 0.500
Mo 0.823 0.323 0.500



Calculated powder XRD pattern of BeNbMo2 for λ = 1.5418 Å (Cu Kα), from a GGA-PBE-relaxed structure.
Intensities are scaled so that the largest is 100.

Largest 9 diffraction maxima, most intense first, 2θ from 10° to 80°:
41.1°, 2.198 Å, I 100; 74.8°, 1.269 Å, I 33; 24.8°, 3.589 Å, I 25; 59.5°, 1.554 Å, I 16; 28.7°, 3.108 Å, I 12; 48.6°, 1.874 Å, I 12; 65.4°, 1.426 Å, I 5; 67.4°, 1.390 Å, I 4; 50.9°, 1.794 Å, I 3

Cell and atoms:
Unit cell a=6.216 b=6.216 c=6.216 alpha=90.00 beta=90.00 gamma=90.00
Fractional coordinates of all 16 atoms:
Be 0.000 0.000 0.000
Be 0.000 0.500 0.500
Be 0.500 0.000 0.500
Be 0.500 0.500 0.000
Nb 0.250 0.250 0.250
Nb 0.250 0.750 0.750
Nb 0.750 0.250 0.750
Nb 0.750 0.750 0.250
Mo 0.000 0.000 0.500
Mo 0.000 0.500 0.000
Mo 0.250 0.250 0.750
Mo 0.250 0.750 0.250
Mo 0.500 0.000 0.000
Mo 0.500 0.500 0.500
Mo 0.750 0.250 0.250
Mo 0.750 0.750 0.750



Calculated powder XRD pattern of BeTlNiMo for λ = 1.5418 Å (Cu Kα), from a GGA-PBE-relaxed structure.
Intensities are scaled so that the largest is 100.

Largest 9 diffraction maxima, most intense first, 2θ from 10° to 80°:
41.7°, 2.168 Å, I 100; 29.1°, 3.067 Å, I 49; 76.0°, 1.252 Å, I 34; 25.1°, 3.541 Å, I 25; 68.4°, 1.371 Å, I 18; 60.4°, 1.533 Å, I 16; 51.6°, 1.771 Å, I 14; 49.3°, 1.849 Å, I 13; 66.4°, 1.407 Å, I 5

Cell and atoms:
Unit cell a=6.133 b=6.133 c=6.133 alpha=90.00 beta=90.00 gamma=90.00
Fractional coordinates of all 16 atoms:
Be 0.000 0.000 0.000
Be 0.000 0.500 0.500
Be 0.500 0.000 0.500
Be 0.500 0.500 0.000
Tl 0.250 0.250 0.250
Tl 0.250 0.750 0.750
Tl 0.750 0.250 0.750
Tl 0.750 0.750 0.250
Ni 0.000 0.000 0.500
Ni 0.000 0.500 0.000
Ni 0.500 0.000 0.000
Ni 0.500 0.500 0.500
Mo 0.250 0.250 0.750
Mo 0.250 0.750 0.250
Mo 0.750 0.250 0.250
Mo 0.750 0.750 0.750



Calculated powder XRD pattern of Be2Mo3Pd2 for λ = 1.5418 Å (Cu Kα), from a GGA-PBE-relaxed structure.
Intensities are scaled so that the largest is 100.

Largest 10 diffraction maxima, most intense first, 2θ from 10° to 80°:
42.8°, 2.113 Å, I 100; 42.0°, 2.153 Å, I 98; 26.2°, 3.406 Å, I 36; 34.3°, 2.611 Å, I 36; 77.8°, 1.227 Å, I 31; 61.5°, 1.508 Å, I 31; 76.1°, 1.251 Å, I 23; 31.1°, 2.878 Å, I 18; 78.4°, 1.220 Å, I 16; 14.3°, 6.212 Å, I 12

Cell and atoms:
Unit cell a=6.674 b=6.674 c=6.674 alpha=36.91 beta=36.91 gamma=36.91
Fractional coordinates of all 7 atoms:
Be 0.000 0.000 0.000
Be 0.432 0.432 0.432
Mo 0.144 0.144 0.144
Mo 0.571 0.571 0.571
Mo 0.860 0.860 0.860
Pd 0.303 0.303 0.303
Pd 0.717 0.717 0.717



Calculated powder XRD pattern of Pm3Be2Mo4 for λ = 1.5418 Å (Cu Kα), from a GGA-PBE-relaxed structure.
Intensities are scaled so that the largest is 100.

Largest 10 diffraction maxima, most intense first, 2θ from 10° to 80°:
33.2°, 2.702 Å, I 100; 36.6°, 2.453 Å, I 62; 40.8°, 2.210 Å, I 56; 58.5°, 1.578 Å, I 38; 24.9°, 3.569 Å, I 38; 60.7°, 1.526 Å, I 33; 40.0°, 2.253 Å, I 30; 68.4°, 1.372 Å, I 12; 73.7°, 1.286 Å, I 11; 26.4°, 3.376 Å, I 11

Cell and atoms:
Unit cell a=6.753 b=6.753 c=4.505 alpha=90.00 beta=90.00 gamma=120.00
Fractional coordinates of all 9 atoms:
Pm 0.006 0.419 0.000
Pm 0.414 0.994 0.000
Pm 0.581 0.586 0.000
Be 0.000 0.000 0.000
Be 0.333 0.667 0.500
Mo 0.219 0.217 0.500
Mo 0.667 0.333 0.500
Mo 0.783 0.002 0.500
Mo 0.998 0.781 0.500



Calculated powder XRD pattern of Be2Mo3Pt2 for λ = 1.5418 Å (Cu Kα), from a GGA-PBE-relaxed structure.
Intensities are scaled so that the largest is 100.

Largest 10 diffraction maxima, most intense first, 2θ from 10° to 80°:
42.6°, 2.123 Å, I 100; 42.0°, 2.152 Å, I 99; 26.1°, 3.419 Å, I 70; 34.3°, 2.613 Å, I 56; 77.5°, 1.231 Å, I 33; 61.3°, 1.511 Å, I 32; 78.0°, 1.226 Å, I 17; 76.1°, 1.251 Å, I 15; 76.3°, 1.248 Å, I 14; 55.8°, 1.648 Å, I 14

Cell and atoms:
Unit cell a=6.659 b=6.659 c=6.659 alpha=37.18 beta=37.18 gamma=37.18
Fractional coordinates of all 7 atoms:
Be 0.000 0.000 0.000
Be 0.426 0.426 0.426
Mo 0.284 0.284 0.284
Mo 0.567 0.567 0.567
Mo 0.859 0.859 0.859
Pt 0.130 0.130 0.130
Pt 0.711 0.711 0.711



Calculated powder XRD pattern of Be2ReMo for λ = 1.5418 Å (Cu Kα), from a GGA-PBE-relaxed structure.
Intensities are scaled so that the largest is 100.

Largest 8 diffraction maxima, most intense first, 2θ from 10° to 80°:
26.4°, 3.379 Å, I 100; 43.8°, 2.069 Å, I 84; 51.8°, 1.764 Å, I 48; 70.1°, 1.343 Å, I 19; 63.6°, 1.463 Å, I 14; 30.6°, 2.926 Å, I 9; 72.2°, 1.309 Å, I 4; 54.3°, 1.689 Å, I 3

Cell and atoms:
Unit cell a=5.852 b=5.852 c=5.852 alpha=90.00 beta=90.00 gamma=90.00
Fractional coordinates of all 16 atoms:
Be 0.000 0.000 0.000
Be 0.000 0.500 0.500
Be 0.250 0.250 0.250
Be 0.250 0.750 0.750
Be 0.500 0.000 0.500
Be 0.500 0.500 0.000
Be 0.750 0.250 0.750
Be 0.750 0.750 0.250
Re 0.000 0.000 0.500
Re 0.000 0.500 0.000
Re 0.500 0.000 0.000
Re 0.500 0.500 0.500
Mo 0.250 0.250 0.750
Mo 0.250 0.750 0.250
Mo 0.750 0.250 0.250
Mo 0.750 0.750 0.750



Calculated powder XRD pattern of Be2TlMo for λ = 1.5418 Å (Cu Kα), from a GGA-PBE-relaxed structure.
Intensities are scaled so that the largest is 100.

Largest 9 diffraction maxima, most intense first, 2θ from 10° to 80°:
24.8°, 3.590 Å, I 100; 41.1°, 2.198 Å, I 84; 48.6°, 1.875 Å, I 50; 74.8°, 1.269 Å, I 29; 65.4°, 1.426 Å, I 21; 59.5°, 1.554 Å, I 14; 28.7°, 3.109 Å, I 11; 67.4°, 1.390 Å, I 5; 50.9°, 1.795 Å, I 4

Cell and atoms:
Unit cell a=6.218 b=6.218 c=6.218 alpha=90.00 beta=90.00 gamma=90.00
Fractional coordinates of all 16 atoms:
Be 0.000 0.000 0.000
Be 0.000 0.500 0.500
Be 0.250 0.250 0.250
Be 0.250 0.750 0.750
Be 0.500 0.000 0.500
Be 0.500 0.500 0.000
Be 0.750 0.250 0.750
Be 0.750 0.750 0.250
Tl 0.000 0.000 0.500
Tl 0.000 0.500 0.000
Tl 0.500 0.000 0.000
Tl 0.500 0.500 0.500
Mo 0.250 0.250 0.750
Mo 0.250 0.750 0.250
Mo 0.750 0.250 0.250
Mo 0.750 0.750 0.750